Diffraction record for SmEr2Sn. The powder diffractogram is simulated, not measured: it uses a PBE-relaxed structure and Cu Kα, 1.54184 Å.
No peak broadening, texture or thermal motion is included.

Structural model:
Cell: 4.610 4.684 11.419 Å, 90.00 101.61 90.00°
Element x y z (fractional)
Sm 0.192 0.250 0.386
Sm 0.808 0.750 0.614
Er 0.058 0.750 0.116
Er 0.437 0.750 0.873
Er 0.563 0.250 0.127
Er 0.942 0.250 0.884
Sn 0.337 0.250 0.673
Sn 0.663 0.750 0.327

Peak list (12 most intense, 5 to 70 degrees two-theta, by angle)
2θ/deg  Rel. int.
7.90  15.9
29.71  90.4
32.01  37.1
33.85  100.0
38.43  31.1
39.08  29.7
50.85  20.4
51.37  19.8
55.97  21.1
60.76  14.1
65.95  18.8
66.60  14.4